This entry pairs a crystal structure of Nd3Sm4Dy2 with its simulated powder X-ray diffraction pattern. Radiation: Cu Kα (λ = 1.5418 Å). Structure: a crystal structure in Alexandria, relaxed with GGA-PBE.
Kinematic intensities with the Lorentz-polarization factor, no thermal factor.

Largest 10 diffraction maxima, by intensity, 15° ≤ 2θ ≤ 90°:
2θ (°), I (rel.)
30.19, 100.0
35.00, 50.7
59.82, 43.1
50.33, 36.2
84.48, 13.7
81.86, 13.2
62.75, 9.3
73.93, 5.7
81.96, 4.4
62.84, 3.1

Structure:
```
Nd3Sm4Dy2
1.0
6.0147 -1.8140 0.0000
6.0147 1.8140 0.0000
-5.4555 0.0000 13.9037
Nd Sm Dy
3 4 2
direct
0.0000 0.0000 0.0000
0.1099 0.1099 0.4431
0.8901 0.8901 0.5569
0.2212 0.2212 0.8887
0.3310 0.3310 0.3314
0.6690 0.6690 0.6686
0.7788 0.7788 0.1113
0.4451 0.4451 0.7786
0.5549 0.5549 0.2214
```

=====

This entry pairs a crystal structure of Nd4SmDy3 with its simulated powder X-ray diffraction pattern. Radiation: Cu Kα (λ = 1.5418 Å). Structure: a crystal structure in Alexandria, relaxed with GGA-PBE.
Kinematic intensities with the Lorentz-polarization factor, no thermal factor.

Largest 10 diffraction maxima, by intensity, 15° ≤ 2θ ≤ 90°:
2θ (°), I (rel.)
32.09, 100.0
30.65, 25.1
28.10, 23.5
55.41, 21.3
42.06, 15.9
59.61, 15.2
49.79, 13.0
60.38, 10.9
59.48, 7.6
49.64, 6.5

Structure:
```
Nd4SmDy3
1.0
11.6674 0.0000 0.0000
0.0000 7.3458 0.0000
0.0000 0.0000 6.3388
Nd Sm Dy
8 2 6
direct
0.0000 0.1283 0.0000
0.0000 0.8721 0.4942
0.2476 0.8734 0.8316
0.2524 0.1266 0.3316
0.5000 0.1279 0.9942
0.5000 0.8717 0.5000
0.7476 0.1266 0.3316
0.7524 0.8734 0.8316
0.0000 0.3761 0.4988
0.5000 0.6239 0.9988
0.0000 0.6212 0.9973
0.2502 0.3782 0.8305
0.2498 0.6218 0.3305
0.5000 0.3788 0.4973
0.7498 0.3782 0.8305
0.7502 0.6218 0.3305
```

=====

This entry pairs a crystal structure of NdSm5Dy12 with its simulated powder X-ray diffraction pattern. Radiation: Cu Kα (λ = 1.5418 Å). Structure: a crystal structure in Alexandria, relaxed with GGA-PBE.
Kinematic intensities with the Lorentz-polarization factor, no thermal factor.

Largest 10 diffraction maxima, by intensity, 15° ≤ 2θ ≤ 90°:
2θ (°), I (rel.)
32.04, 100.0
30.93, 30.4
29.93, 24.2
55.71, 20.9
43.57, 17.4
34.73, 12.7
54.48, 11.5
58.40, 9.0
67.01, 8.8
48.23, 8.0

Structure:
```
NdSm5Dy12
1.0
5.6606 -8.6746 0.0000
5.6606 8.6746 0.0000
-0.0016 0.0000 5.9715
Nd Sm Dy
1 5 12
direct
0.0000 0.0000 0.0000
0.1672 0.8328 0.5000
0.3326 0.6674 0.0000
0.5000 0.5000 0.5000
0.6674 0.3326 0.0000
0.8328 0.1672 0.5000
0.0110 0.3445 0.9461
0.1562 0.4896 0.4462
0.1772 0.1772 0.5507
0.3244 0.3244 0.0509
0.3445 0.0110 0.9461
0.4896 0.1562 0.4462
0.5104 0.8438 0.5538
0.6555 0.9890 0.0539
0.6756 0.6756 0.9491
0.8228 0.8228 0.4493
0.8438 0.5104 0.5538
0.9890 0.6555 0.0539
```

=====

This entry pairs a crystal structure of Nd2Sm2Dy5 with its simulated powder X-ray diffraction pattern. Radiation: Cu Kα (λ = 1.5418 Å). Structure: a crystal structure in Alexandria, relaxed with GGA-PBE.
Kinematic intensities with the Lorentz-polarization factor, no thermal factor.

Largest 10 diffraction maxima, by intensity, 15° ≤ 2θ ≤ 90°:
2θ (°), I (rel.)
29.66, 100.0
36.02, 56.6
32.46, 46.4
34.65, 44.5
33.51, 29.6
25.55, 29.4
27.72, 27.9
28.29, 26.9
42.54, 21.7
52.19, 18.2

Structure:
```
Nd2Sm2Dy5
1.0
10.8316 -1.7528 0.0000
10.8316 1.7528 0.0000
-1.4044 0.0000 8.1864
Nd Sm Dy
2 2 5
direct
0.1846 0.1846 0.1455
0.8154 0.8154 0.8545
0.4533 0.4533 0.6446
0.5467 0.5467 0.3554
0.0000 0.0000 0.0000
0.0992 0.0992 0.7392
0.3098 0.3098 0.4738
0.6902 0.6902 0.5262
0.9008 0.9008 0.2608
```